For Na2Sr2Nb4O13, a cell relaxed with PBE gives the theoretical XRD peak list in this record (CuKα).
Kinematic intensities with the Lorentz-polarization factor, no thermal factor.

The 10 most intense peaks (5° ≤ 2θ ≤ 70°), sorted by position:
Position (°2θ)  I_rel
14.31  30
27.69  9
28.88  100
33.28  9
33.56  18
47.98  29
48.13  8
48.25  8
56.79  13
57.16  27

Cell and atoms:
```
data_Na2Sr2Nb4O13
_chemical_formula_sum 'Na2 Sr2 Nb4 O13'
_symmetry_space_group_name_H-M 'P 1'
_symmetry_Int_Tables_number 1
_cell_length_a 7.5843
_cell_length_b 7.5843
_cell_length_c 7.5843
_cell_angle_alpha 120.35
_cell_angle_beta 120.19
_cell_angle_gamma 89.54
loop_
_symmetry_equiv_pos_as_xyz
'x,y,z'
loop_
_atom_site_label
_atom_site_type_symbol
_atom_site_fract_x
_atom_site_fract_y
_atom_site_fract_z
Na1 Na 0.0000 0.2393 0.2393
Na2 Na 0.0000 0.7607 0.7607
Sr1 Sr 0.4620 0.2224 0.2395
Sr2 Sr 0.9829 0.2224 0.7605
Nb1 Nb 0.4856 0.7422 0.7434
Nb2 Nb 0.4905 0.2482 0.7576
Nb3 Nb 0.4905 0.7329 0.2424
Nb4 Nb 0.9989 0.7422 0.2566
O1 O 0.1101 0.1101 0.0000
O2 O 0.1584 0.0482 0.5022
O3 O 0.1584 0.6562 0.1102
O4 O 0.1638 0.6638 0.5000
O5 O 0.4114 0.4114 0.0000
O6 O 0.4151 0.4129 0.6213
O7 O 0.4151 0.7938 0.0023
O8 O 0.5454 0.0454 0.5000
O9 O 0.5460 0.0482 0.8898
O10 O 0.5460 0.6562 0.4978
O11 O 0.7823 0.7823 0.0000
O12 O 0.7916 0.4129 0.9977
O13 O 0.7916 0.7938 0.3787
```

For NaSr2Nb5O15, a cell relaxed with PBE gives the theoretical XRD peak list in this record (CuKα).
Kinematic intensities with the Lorentz-polarization factor, no thermal factor.

The 10 most intense peaks (5° ≤ 2θ ≤ 70°), sorted by position:
Position (°2θ)  I_rel
21.72  49
25.41  54
26.91  50
29.14  67
31.29  100
31.69  43
33.69  26
44.27  35
45.41  26
56.23  26

Cell and atoms:
```
data_NaSr2Nb5O15
_chemical_formula_sum 'Na2 Sr4 Nb10 O30'
_symmetry_space_group_name_H-M 'P 1'
_symmetry_Int_Tables_number 1
_cell_length_a 12.6325
_cell_length_b 12.6325
_cell_length_c 4.0921
_cell_angle_alpha 90.00
_cell_angle_beta 90.00
_cell_angle_gamma 90.18
loop_
_symmetry_equiv_pos_as_xyz
'x,y,z'
loop_
_atom_site_label
_atom_site_type_symbol
_atom_site_fract_x
_atom_site_fract_y
_atom_site_fract_z
Na1 Na 0.1652 0.8348 0.0000
Na2 Na 0.8348 0.1652 0.0000
Sr1 Sr 0.0000 0.5000 0.1615
Sr2 Sr 0.3327 0.3327 0.1306
Sr3 Sr 0.5000 0.0000 0.1615
Sr4 Sr 0.6673 0.6673 0.1306
Nb1 Nb 0.0000 0.0000 0.6323
Nb2 Nb 0.0782 0.2883 0.6549
Nb3 Nb 0.2099 0.5785 0.6559
Nb4 Nb 0.2883 0.0782 0.6549
Nb5 Nb 0.4215 0.7901 0.6559
Nb6 Nb 0.5000 0.5000 0.6491
Nb7 Nb 0.5785 0.2099 0.6559
Nb8 Nb 0.7117 0.9218 0.6549
Nb9 Nb 0.7901 0.4215 0.6559
Nb10 Nb 0.9218 0.7117 0.6549
O1 O 0.0000 0.0000 0.1882
O2 O 0.9996 0.1572 0.7044
O3 O 0.0004 0.8428 0.7044
O4 O 0.0646 0.6377 0.7066
O5 O 0.0853 0.2996 0.1999
O6 O 0.1360 0.4360 0.7129
O7 O 0.1572 0.9996 0.7044
O8 O 0.2027 0.5731 0.2023
O9 O 0.2280 0.2280 0.6975
O10 O 0.2830 0.7170 0.7100
O11 O 0.2996 0.0853 0.1999
O12 O 0.3424 0.4912 0.7085
O13 O 0.3623 0.9354 0.7066
O14 O 0.4269 0.7973 0.2023
O15 O 0.4360 0.1360 0.7129
O16 O 0.4912 0.3424 0.7085
O17 O 0.5000 0.5000 0.1966
O18 O 0.5088 0.6576 0.7085
O19 O 0.5640 0.8640 0.7129
O20 O 0.5731 0.2027 0.2023
O21 O 0.6377 0.0646 0.7066
O22 O 0.6576 0.5088 0.7085
O23 O 0.7004 0.9147 0.1999
O24 O 0.7170 0.2830 0.7100
O25 O 0.7720 0.7720 0.6975
O26 O 0.7973 0.4269 0.2023
O27 O 0.8428 0.0004 0.7044
O28 O 0.8640 0.5640 0.7129
O29 O 0.9147 0.7004 0.1999
O30 O 0.9354 0.3623 0.7066
```

For NaTaNbO6, a cell relaxed with PBE gives the theoretical XRD peak list in this record (CuKα).
Kinematic intensities with the Lorentz-polarization factor, no thermal factor.

The 10 most intense peaks (5° ≤ 2θ ≤ 70°), sorted by position:
Position (°2θ)  I_rel
18.43  23
20.12  80
25.37  100
31.54  17
33.24  78
36.18  19
41.74  20
49.94  65
52.09  19
63.21  19

Cell and atoms:
```
data_NaTaNbO6
_chemical_formula_sum 'Na2 Ta2 Nb2 O12'
_symmetry_space_group_name_H-M 'P 1'
_symmetry_Int_Tables_number 1
_cell_length_a 4.9658
_cell_length_b 4.9658
_cell_length_c 9.6293
_cell_angle_alpha 90.00
_cell_angle_beta 90.00
_cell_angle_gamma 90.00
loop_
_symmetry_equiv_pos_as_xyz
'x,y,z'
loop_
_atom_site_label
_atom_site_type_symbol
_atom_site_fract_x
_atom_site_fract_y
_atom_site_fract_z
Na1 Na 0.0000 0.0000 0.0000
Na2 Na 0.5000 0.5000 0.5000
Ta1 Ta 0.0000 0.0000 0.3379
Ta2 Ta 0.5000 0.5000 0.8379
Nb1 Nb 0.0000 0.0000 0.6629
Nb2 Nb 0.5000 0.5000 0.1629
O1 O 0.1762 0.1762 0.4994
O2 O 0.2211 0.2211 0.2021
O3 O 0.2231 0.2231 0.7992
O4 O 0.2769 0.7231 0.2992
O5 O 0.2789 0.7211 0.7021
O6 O 0.3238 0.6762 0.9994
O7 O 0.6762 0.3238 0.9994
O8 O 0.7211 0.2789 0.7021
O9 O 0.7231 0.2769 0.2992
O10 O 0.7769 0.7769 0.7992
O11 O 0.7789 0.7789 0.2021
O12 O 0.8238 0.8238 0.4994
```

For Na3TbTi2Nb2O12, a cell relaxed with PBE gives the theoretical XRD peak list in this record (CuKα).
Kinematic intensities with the Lorentz-polarization factor, no thermal factor.

The 10 most intense peaks (5° ≤ 2θ ≤ 70°), sorted by position:
Position (°2θ)  I_rel
11.38  52
15.80  27
19.51  48
19.86  47
31.91  55
32.34  99
32.57  100
32.78  49
46.05  34
46.73  67

Cell and atoms:
```
data_Na3TbTi2Nb2O12
_chemical_formula_sum 'Na3 Tb1 Ti2 Nb2 O12'
_symmetry_space_group_name_H-M 'P 1'
_symmetry_Int_Tables_number 1
_cell_length_a 5.4654
_cell_length_b 5.6098
_cell_length_c 7.7748
_cell_angle_alpha 90.00
_cell_angle_beta 89.90
_cell_angle_gamma 89.20
loop_
_symmetry_equiv_pos_as_xyz
'x,y,z'
loop_
_atom_site_label
_atom_site_type_symbol
_atom_site_fract_x
_atom_site_fract_y
_atom_site_fract_z
Na1 Na 0.0000 0.0000 0.0000
Na2 Na 0.0112 0.9388 0.5028
Na3 Na 0.4899 0.4725 0.0050
Tb1 Tb 0.4914 0.4139 0.5028
Ti1 Ti 0.5066 0.9520 0.7478
Ti2 Ti 0.9880 0.4588 0.2595
Nb1 Nb 0.5065 0.9538 0.2422
Nb2 Nb 0.9923 0.4696 0.7627
O1 O 0.0607 0.4627 0.0054
O2 O 0.2169 0.2128 0.3028
O3 O 0.2195 0.2116 0.7007
O4 O 0.3058 0.6862 0.3016
O5 O 0.3066 0.6905 0.7031
O6 O 0.4272 0.9778 0.9988
O7 O 0.5734 0.0091 0.5045
O8 O 0.6988 0.2869 0.7733
O9 O 0.7033 0.2856 0.2328
O10 O 0.7962 0.7868 0.7862
O11 O 0.8021 0.7802 0.2138
O12 O 0.9058 0.5126 0.4988
```

For NaTiNbO5, a cell relaxed with PBE gives the theoretical XRD peak list in this record (CuKα).
Kinematic intensities with the Lorentz-polarization factor, no thermal factor.

The 10 most intense peaks (5° ≤ 2θ ≤ 70°), sorted by position:
Position (°2θ)  I_rel
17.11  72
23.60  52
24.24  39
25.92  96
26.22  100
30.97  23
32.34  77
33.06  21
49.08  23
50.27  30

Cell and atoms:
```
data_NaTiNbO5
_chemical_formula_sum 'Na2 Ti2 Nb2 O10'
_symmetry_space_group_name_H-M 'P 1'
_symmetry_Int_Tables_number 1
_cell_length_a 5.8948
_cell_length_b 5.8948
_cell_length_c 7.4490
_cell_angle_alpha 105.64
_cell_angle_beta 105.64
_cell_angle_gamma 100.93
loop_
_symmetry_equiv_pos_as_xyz
'x,y,z'
loop_
_atom_site_label
_atom_site_type_symbol
_atom_site_fract_x
_atom_site_fract_y
_atom_site_fract_z
Na1 Na 0.1980 0.8020 0.7500
Na2 Na 0.8020 0.1980 0.2500
Ti1 Ti 0.5000 0.5000 0.0000
Ti2 Ti 0.5000 0.5000 0.5000
Nb1 Nb 0.1641 0.8359 0.2500
Nb2 Nb 0.8359 0.1641 0.7500
O1 O 0.1715 0.2436 0.8859
O2 O 0.2318 0.6662 0.4300
O3 O 0.2436 0.1715 0.3859
O4 O 0.3338 0.7682 0.0700
O5 O 0.4598 0.5402 0.7500
O6 O 0.5402 0.4598 0.2500
O7 O 0.6662 0.2318 0.9300
O8 O 0.7564 0.8285 0.6141
O9 O 0.7682 0.3338 0.5700
O10 O 0.8285 0.7564 0.1141
```

For Na3TmTi2Nb2O12, a cell relaxed with PBE gives the theoretical XRD peak list in this record (CuKα).
Kinematic intensities with the Lorentz-polarization factor, no thermal factor.

The 10 most intense peaks (5° ≤ 2θ ≤ 70°), sorted by position:
Position (°2θ)  I_rel
11.43  62
15.81  31
19.56  52
19.96  51
31.94  54
32.42  100
32.75  99
32.97  49
46.07  32
46.95  35

Cell and atoms:
```
data_Na3TmTi2Nb2O12
_chemical_formula_sum 'Na3 Tm1 Ti2 Nb2 O12'
_symmetry_space_group_name_H-M 'P 1'
_symmetry_Int_Tables_number 1
_cell_length_a 5.4341
_cell_length_b 5.6050
_cell_length_c 7.7419
_cell_angle_alpha 89.99
_cell_angle_beta 89.90
_cell_angle_gamma 88.85
loop_
_symmetry_equiv_pos_as_xyz
'x,y,z'
loop_
_atom_site_label
_atom_site_type_symbol
_atom_site_fract_x
_atom_site_fract_y
_atom_site_fract_z
Na1 Na 0.0000 0.0000 0.0000
Na2 Na 0.0154 0.9302 0.5025
Na3 Na 0.4931 0.4683 0.0049
Tm1 Tm 0.4941 0.3997 0.5027
Ti1 Ti 0.5088 0.9432 0.7461
Ti2 Ti 0.9886 0.4519 0.2600
Nb1 Nb 0.5092 0.9445 0.2433
Nb2 Nb 0.9939 0.4632 0.7615
O1 O 0.0656 0.4538 0.0051
O2 O 0.2219 0.2057 0.3059
O3 O 0.2250 0.2045 0.6972
O4 O 0.3161 0.6743 0.3077
O5 O 0.3163 0.6787 0.6969
O6 O 0.4273 0.9650 0.9988
O7 O 0.5821 0.0067 0.5044
O8 O 0.7016 0.2807 0.7740
O9 O 0.7061 0.2780 0.2315
O10 O 0.8045 0.7825 0.7872
O11 O 0.8107 0.7751 0.2126
O12 O 0.8974 0.5063 0.4986
```

For NaUNbO6, a cell relaxed with PBE gives the theoretical XRD peak list in this record (CuKα).
Kinematic intensities with the Lorentz-polarization factor, no thermal factor.

The 10 most intense peaks (5° ≤ 2θ ≤ 70°), sorted by position:
Position (°2θ)  I_rel
21.11  100
26.91  83
32.88  45
34.60  24
38.29  21
42.99  23
51.67  42
52.23  18
55.16  23
58.71  16

Cell and atoms:
```
data_NaUNbO6
_chemical_formula_sum 'Na2 U2 Nb2 O12'
_symmetry_space_group_name_H-M 'P 1'
_symmetry_Int_Tables_number 1
_cell_length_a 5.4477
_cell_length_b 5.4477
_cell_length_c 9.3068
_cell_angle_alpha 90.00
_cell_angle_beta 90.00
_cell_angle_gamma 120.00
loop_
_symmetry_equiv_pos_as_xyz
'x,y,z'
loop_
_atom_site_label
_atom_site_type_symbol
_atom_site_fract_x
_atom_site_fract_y
_atom_site_fract_z
Na1 Na 0.3333 0.6667 0.2500
Na2 Na 0.6667 0.3333 0.7500
U1 U 0.3333 0.6667 0.7500
U2 U 0.6667 0.3333 0.2500
Nb1 Nb 0.0000 0.0000 0.0000
Nb2 Nb 0.0000 0.0000 0.5000
O1 O 0.0445 0.3286 0.6220
O2 O 0.0445 0.7159 0.8780
O3 O 0.2841 0.3286 0.8780
O4 O 0.2841 0.9555 0.6220
O5 O 0.3286 0.0445 0.1220
O6 O 0.3286 0.2841 0.3780
O7 O 0.6714 0.7159 0.6220
O8 O 0.6714 0.9555 0.8780
O9 O 0.7159 0.0445 0.3780
O10 O 0.7159 0.6714 0.1220
O11 O 0.9555 0.2841 0.1220
O12 O 0.9555 0.6714 0.3780
```